Starting from a DFT-relaxed cell (GGA-PBE, the Materials Project), the powder X-ray diffraction pattern of CaZnPb was computed for Cu Kα (λ = 1.5418 Å).

Most intense lines, 2θ from 15° to 90°, sorted by position:
2θ/deg	d_spacing	I_rel
21.4	4.147	34
22.4	3.962	62
24.2	3.675	74
31.2	2.865	100
37.6	2.394	95
40.5	2.228	21
44.2	2.049	66
49.6	1.837	27
60.7	1.526	46
63.9	1.458	25

Cell lengths 4.7889, 4.7889, 7.9244 Å; angles 90.00, 90.00, 120.00 degrees
Sites, in units of the cell vectors:
Ca (0.0000, 0.0000, 0.0000)
Ca (0.0000, 0.0000, 0.5000)
Zn (0.3333, 0.6667, 0.2500)
Zn (0.6667, 0.3333, 0.7500)
Pb (0.3333, 0.6667, 0.7500)
Pb (0.6667, 0.3333, 0.2500)

=====

Starting from a DFT-relaxed cell (GGA-PBE, the Materials Project), the powder X-ray diffraction pattern of EuAuO3 was computed for Cu Kα (λ = 1.5418 Å).

Most intense lines, 2θ from 15° to 90°, sorted by position:
2θ/deg	d_spacing	I_rel
21.6	4.110	4
30.8	2.906	100
44.1	2.055	27
49.6	1.838	2
54.7	1.678	41
64.1	1.453	17
68.5	1.370	1
72.8	1.300	18
81.1	1.186	6
89.2	1.098	23

Cell lengths 4.1095, 4.1095, 4.1095 Å; angles 90.00, 90.00, 90.00 degrees
Sites, in units of the cell vectors:
Eu (0.0000, 0.0000, 0.0000)
Au (0.5000, 0.5000, 0.5000)
O (0.0000, 0.5000, 0.5000)
O (0.5000, 0.0000, 0.5000)
O (0.5000, 0.5000, 0.0000)

=====

Starting from a DFT-relaxed cell (GGA-PBE, the Materials Project), the powder X-ray diffraction pattern of BaSrLuBiO6 was computed for Cu Kα (λ = 1.5418 Å).

Most intense lines, 2θ from 15° to 90°, sorted by position:
2θ/deg	d_spacing	I_rel
20.8	4.261	13
29.7	3.013	100
42.4	2.130	27
47.7	1.905	7
52.6	1.739	43
61.6	1.506	16
65.7	1.420	3
69.8	1.347	18
77.6	1.230	5
85.2	1.139	22

Cell lengths 6.0260, 6.0261, 10.4313 Å; angles 90.00, 125.23, 90.00 degrees
Sites, in units of the cell vectors:
Ba (0.0000, 0.2348, 0.0000)
Ba (0.0000, 0.7652, 0.5000)
Sr (0.4893, 0.2742, 0.4997)
Sr (0.4893, 0.7258, 0.9997)
Lu (0.7463, 0.2492, 0.2500)
Lu (0.7463, 0.7508, 0.7500)
Bi (0.2461, 0.2491, 0.7495)
Bi (0.2461, 0.7509, 0.2495)
O (0.0097, 0.4774, 0.7803)
O (0.0097, 0.5226, 0.2803)
O (0.0727, 0.0311, 0.2880)
O (0.0727, 0.9689, 0.7880)
O (0.4411, 0.4801, 0.2197)
O (0.4411, 0.5199, 0.7197)
O (0.4866, 0.0359, 0.7104)
O (0.4866, 0.9641, 0.2104)
O (0.5464, 0.2658, 0.9968)
O (0.5464, 0.7342, 0.4968)
O (0.9255, 0.2414, 0.5033)
O (0.9255, 0.7586, 0.0033)

=====

Starting from a DFT-relaxed cell (GGA-PBE, the Materials Project), the powder X-ray diffraction pattern of CsBC4N4 was computed for Cu Kα (λ = 1.5418 Å).

Most intense lines, 2θ from 15° to 90°, sorted by position:
2θ/deg	d_spacing	I_rel
20.2	4.397	100
20.6	4.307	14
27.2	3.275	32
30.7	2.911	15
31.7	2.825	28
33.0	2.717	33
33.9	2.647	14
38.2	2.358	12
39.8	2.268	21
51.9	1.760	13

Cell lengths 9.5094, 9.5094, 9.5094 Å; angles 133.64, 133.64, 67.65 degrees
Sites, in units of the cell vectors:
Cs (0.3750, 0.1250, 0.2500)
Cs (0.6250, 0.8750, 0.7500)
B (0.1250, 0.3750, 0.7500)
B (0.8750, 0.6250, 0.2500)
C (0.0772, 0.5844, 0.2977)
C (0.0844, 0.2867, 0.5073)
C (0.2133, 0.2206, 0.7977)
C (0.2794, 0.5772, 0.9927)
C (0.7206, 0.4228, 0.0073)
C (0.7867, 0.7794, 0.2023)
C (0.9156, 0.7133, 0.4927)
C (0.9228, 0.4156, 0.7023)
N (0.0513, 0.2178, 0.3254)
N (0.2259, 0.5513, 0.3336)
N (0.2822, 0.1077, 0.8336)
N (0.3923, 0.7259, 0.1746)
N (0.6077, 0.2741, 0.8254)
N (0.7178, 0.8923, 0.1664)
N (0.7741, 0.4487, 0.6664)
N (0.9487, 0.7822, 0.6746)

=====

Starting from a DFT-relaxed cell (GGA-PBE, the Materials Project), the powder X-ray diffraction pattern of Sm3Sn13Ru4 was computed for Cu Kα (λ = 1.5418 Å).

Most intense lines, 2θ from 15° to 90°, sorted by position:
2θ/deg	d_spacing	I_rel
32.9	2.725	100
34.1	2.626	37
36.6	2.456	23
37.7	2.383	13
45.2	2.006	20
54.4	1.685	14
57.8	1.594	17
62.7	1.481	13
66.6	1.404	11
87.0	1.120	10

Cell lengths 9.8259, 9.8259, 9.8259 Å; angles 90.00, 90.00, 90.00 degrees
Sites, in units of the cell vectors:
Sm (0.0000, 0.2500, 0.5000)
Sm (0.0000, 0.7500, 0.5000)
Sm (0.2500, 0.5000, 0.0000)
Sm (0.5000, 0.0000, 0.2500)
Sm (0.5000, 0.0000, 0.7500)
Sm (0.7500, 0.5000, 0.0000)
Sn (0.0000, 0.0000, 0.0000)
Sn (0.0000, 0.3048, 0.1553)
Sn (0.0000, 0.3048, 0.8447)
Sn (0.0000, 0.6952, 0.1553)
Sn (0.0000, 0.6952, 0.8447)
Sn (0.1553, 0.0000, 0.3048)
Sn (0.1553, 0.0000, 0.6952)
Sn (0.1952, 0.5000, 0.3447)
Sn (0.1952, 0.5000, 0.6553)
Sn (0.3048, 0.1553, 0.0000)
Sn (0.3048, 0.8447, 0.0000)
Sn (0.3447, 0.1952, 0.5000)
Sn (0.3447, 0.8048, 0.5000)
Sn (0.5000, 0.3447, 0.1952)
Sn (0.5000, 0.3447, 0.8048)
Sn (0.5000, 0.5000, 0.5000)
Sn (0.5000, 0.6553, 0.1952)
Sn (0.5000, 0.6553, 0.8048)
Sn (0.6553, 0.1952, 0.5000)
Sn (0.6553, 0.8048, 0.5000)
Sn (0.6952, 0.1553, 0.0000)
Sn (0.6952, 0.8447, 0.0000)
Sn (0.8048, 0.5000, 0.3447)
Sn (0.8048, 0.5000, 0.6553)
Sn (0.8447, 0.0000, 0.3048)
Sn (0.8447, 0.0000, 0.6952)
Ru (0.2500, 0.2500, 0.2500)
Ru (0.2500, 0.2500, 0.7500)
Ru (0.2500, 0.7500, 0.2500)
Ru (0.2500, 0.7500, 0.7500)
Ru (0.7500, 0.2500, 0.2500)
Ru (0.7500, 0.2500, 0.7500)
Ru (0.7500, 0.7500, 0.2500)
Ru (0.7500, 0.7500, 0.7500)

=====

Starting from a DFT-relaxed cell (GGA-PBE, the Materials Project), the powder X-ray diffraction pattern of ErMgAg2 was computed for Cu Kα (λ = 1.5418 Å).

Most intense lines, 2θ from 15° to 90°, sorted by position:
2θ/deg	d_spacing	I_rel
22.1	4.024	27
36.5	2.464	100
43.0	2.101	14
52.5	1.742	17
57.7	1.599	6
65.6	1.423	34
70.2	1.341	5
77.5	1.232	11
81.8	1.178	5
88.8	1.102	15

Cell lengths 4.9281, 4.9281, 4.9281 Å; angles 60.00, 60.00, 60.00 degrees
Sites, in units of the cell vectors:
Er (0.0000, 0.0000, 0.0000)
Mg (0.5000, 0.5000, 0.5000)
Ag (0.2500, 0.2500, 0.2500)
Ag (0.7500, 0.7500, 0.7500)

=====

Starting from a DFT-relaxed cell (GGA-PBE, the Materials Project), the powder X-ray diffraction pattern of Na4MgTi2Ge2O10 was computed for Cu Kα (λ = 1.5418 Å).

Most intense lines, 2θ from 15° to 90°, sorted by position:
2θ/deg	d_spacing	I_rel
16.6	5.343	100
24.2	3.683	18
25.4	3.505	46
30.1	2.968	79
30.9	2.894	100
35.8	2.507	23
36.7	2.450	18
41.8	2.163	19
49.9	1.828	26
52.2	1.752	37

Cell lengths 7.0135, 7.0135, 5.3468 Å; angles 91.55, 91.55, 91.29 degrees
Sites, in units of the cell vectors:
Na (0.0000, 0.0000, 0.0000)
Na (0.0638, 0.5255, 0.8943)
Na (0.5255, 0.0638, 0.8943)
Na (0.5703, 0.5703, 0.9269)
Mg (0.0904, 0.0904, 0.5210)
Ti (0.3286, 0.3286, 0.3260)
Ti (0.7902, 0.7902, 0.4871)
Ge (0.3132, 0.7926, 0.4183)
Ge (0.7926, 0.3132, 0.4183)
O (0.0117, 0.2853, 0.2496)
O (0.0982, 0.8150, 0.6090)
O (0.2841, 0.2841, 0.6566)
O (0.2853, 0.0117, 0.2496)
O (0.3029, 0.5909, 0.2078)
O (0.5186, 0.8007, 0.6170)
O (0.5909, 0.3029, 0.2078)
O (0.7887, 0.7887, 0.1603)
O (0.8007, 0.5186, 0.6170)
O (0.8150, 0.0982, 0.6090)